Entry 1:
Diffraction record for V4O3F9. The powder diffraction line list is calculated, not measured: it uses a PBE+U-relaxed structure and copper Kα.

Principal peaks in the range 10 to 80 degrees two-theta, sorted by position:
Position (°2θ)  I/Imax
23.37  98
23.61  99
23.82  100
33.09  27
39.50  17
39.89  15
47.79  23
48.31  21
48.75  20
53.44  24
53.77  12
54.15  14

Cell and atoms:
a = 5.2075 Å, b = 5.4086 Å, c = 9.1858 Å
α = 73.03°, β = 89.67°, γ = 61.45°
Fractional positions:
V 0.0000 0.0000 0.0000
V 0.2272 0.4865 0.7512
V 0.5319 0.9806 0.5053
V 0.7708 0.5151 0.2474
O 0.0932 0.2597 0.8317
O 0.8941 0.7580 0.5814
O 0.9076 0.7374 0.1695
F 0.0292 0.7574 0.8724
F 0.0889 0.2409 0.4243
F 0.4013 0.7553 0.6677
F 0.4223 0.7392 0.0807
F 0.4631 0.2605 0.6193
F 0.5266 0.7495 0.3753
F 0.5793 0.2608 0.9186
F 0.5798 0.2544 0.3286
F 0.9718 0.2384 0.1307



Entry 2:
Diffraction record for K2Mo2C4O15. The powder diffraction line list is calculated, not measured: it uses a PBE+U-relaxed structure and copper Kα.

Principal peaks in the range 10 to 80 degrees two-theta, sorted by position:
Position (°2θ)  I/Imax
11.69  69
14.69  48
18.03  82
18.58  100
21.58  29
21.75  73
26.94  61
27.50  29
27.68  34
29.81  51
30.09  69
44.23  37

Cell and atoms:
a = 7.5730 Å, b = 14.7233 Å, c = 6.6135 Å
α = 90.00°, β = 91.60°, γ = 90.00°
Fractional positions:
K 0.2002 0.1498 0.3668
K 0.2002 0.3502 0.8668
K 0.7998 0.6498 0.1332
K 0.7998 0.8502 0.6332
Mo 0.1049 0.6055 0.6254
Mo 0.1049 0.8945 0.1254
Mo 0.8951 0.1055 0.8746
Mo 0.8951 0.3945 0.3746
C 0.4595 0.6741 0.7603
C 0.4595 0.8259 0.2603
C 0.4849 0.5673 0.7519
C 0.4849 0.9327 0.2519
C 0.5151 0.0673 0.7481
C 0.5151 0.4327 0.2481
C 0.5405 0.1741 0.7397
C 0.5405 0.3259 0.2397
O 0.0000 0.0000 0.0000
O 0.0000 0.5000 0.5000
O 0.0305 0.1911 0.9789
O 0.0305 0.3089 0.4789
O 0.0419 0.5932 0.8736
O 0.0419 0.9068 0.3736
O 0.2282 0.6110 0.3191
O 0.2282 0.8890 0.8191
O 0.3049 0.6994 0.6909
O 0.3049 0.8006 0.1909
O 0.3474 0.5250 0.6823
O 0.3474 0.9750 0.1823
O 0.3712 0.0352 0.6900
O 0.3712 0.4648 0.1900
O 0.4226 0.2249 0.6746
O 0.4226 0.2751 0.1746
O 0.5774 0.7249 0.8254
O 0.5774 0.7751 0.3254
O 0.6288 0.5352 0.8100
O 0.6288 0.9648 0.3100
O 0.6526 0.0250 0.8177
O 0.6526 0.4750 0.3177
O 0.6951 0.1994 0.8091
O 0.6951 0.3006 0.3091
O 0.7718 0.1110 0.1809
O 0.7718 0.3890 0.6809
O 0.9581 0.0932 0.6264
O 0.9581 0.4068 0.1264
O 0.9695 0.6911 0.5211
O 0.9695 0.8089 0.0211



Entry 3:
Diffraction record for Li9Mn2Co5O16. The powder diffraction line list is calculated, not measured: it uses a PBE+U-relaxed structure and copper Kα.

Principal peaks in the range 10 to 80 degrees two-theta, sorted by position:
Position (°2θ)  I/Imax
18.32  100
35.41  16
36.25  13
36.56  12
42.66  29
43.95  27
44.26  26
56.33  5
62.78  15
63.00  8
63.55  14
64.78  7

Cell and atoms:
a = 5.1018 Å, b = 5.9038 Å, c = 9.7003 Å
α = 88.43°, β = 78.30°, γ = 89.23°
Fractional positions:
Li 0.0000 0.0000 0.0000
Li 0.0006 0.7536 0.5026
Li 0.0044 0.5091 0.9967
Li 0.2443 0.7453 0.7418
Li 0.2508 0.2558 0.7499
Li 0.4965 0.5112 0.5087
Li 0.5076 0.0005 0.5095
Li 0.7590 0.2536 0.2611
Li 0.7651 0.7640 0.2637
Mn 0.2565 0.5095 0.2560
Mn 0.5079 0.2546 0.0029
Co 0.2582 0.0072 0.2578
Co 0.5036 0.7534 0.0029
Co 0.7567 0.5066 0.7434
Co 0.7575 0.9979 0.7437
Co 0.9994 0.2537 0.5029
O 0.1017 0.4978 0.6349
O 0.1073 0.0184 0.6328
O 0.1547 0.7384 0.1260
O 0.1598 0.2616 0.1380
O 0.3732 0.2779 0.3735
O 0.3728 0.7492 0.3577
O 0.3968 0.4850 0.8827
O 0.3996 0.0128 0.8952
O 0.6044 0.0203 0.1299
O 0.6048 0.5001 0.1180
O 0.6202 0.7597 0.6398
O 0.6378 0.2549 0.6286
O 0.8469 0.7550 0.8821
O 0.8507 0.2513 0.8858
O 0.9108 0.4955 0.3722
O 0.9159 0.0114 0.3729



Entry 4:
Diffraction record for MgMnO2. The powder diffraction line list is calculated, not measured: it uses a PBE+U-relaxed structure and copper Kα.

Principal peaks in the range 10 to 80 degrees two-theta, sorted by position:
Position (°2θ)  I/Imax
17.39  18
34.03  13
35.21  10
35.56  28
41.19  100
45.03  7
59.43  29
59.84  19
60.03  9
70.99  4
71.37  6
75.37  9

Cell and atoms:
a = 5.4014 Å, b = 3.0824 Å, c = 5.3588 Å
α = 90.00°, β = 109.28°, γ = 90.00°
Fractional positions:
Mg 0.0000 0.2502 0.2500
Mg 0.0000 0.7498 0.7500
Mn 0.5000 0.2453 0.7500
Mn 0.5000 0.7547 0.2500
O 0.2347 0.2508 0.9948
O 0.2347 0.7492 0.4948
O 0.7653 0.2508 0.5052
O 0.7653 0.7492 0.0052



Entry 5:
Diffraction record for MnOF. The powder diffraction line list is calculated, not measured: it uses a PBE+U-relaxed structure and copper Kα.

Principal peaks in the range 10 to 80 degrees two-theta, sorted by position:
Position (°2θ)  I/Imax
27.10  80
27.21  79
34.24  100
39.51  37
52.61  48
52.75  44
55.87  14
56.13  13
58.19  20
65.32  14
65.39  10
67.30  29

Cell and atoms:
a = 12.6830 Å, b = 4.6445 Å, c = 4.6445 Å
α = 90.24°, β = 90.00°, γ = 90.00°
Fractional positions:
Mn 0.0000 0.0000 0.0000
Mn 0.1246 0.5533 0.5016
Mn 0.2500 0.0500 0.0674
Mn 0.3754 0.5533 0.5016
Mn 0.5000 0.0000 0.0000
Mn 0.6246 0.5016 0.5533
Mn 0.7500 0.0674 0.0500
Mn 0.8754 0.5016 0.5533
O 0.0000 0.7037 0.7037
O 0.1225 0.8464 0.2087
O 0.2500 0.3626 0.3312
O 0.3775 0.8464 0.2087
O 0.5000 0.7037 0.7037
O 0.6225 0.2087 0.8464
O 0.7500 0.3312 0.3626
O 0.8775 0.2087 0.8464
F 0.0000 0.3043 0.3043
F 0.1314 0.2514 0.8132
F 0.2500 0.7703 0.7409
F 0.3686 0.2514 0.8132
F 0.5000 0.3043 0.3043
F 0.6314 0.8132 0.2514
F 0.7500 0.7409 0.7703
F 0.8686 0.8132 0.2514